# 1
Calculated X-ray powder pattern
Compound: Sr2Np3O10
Radiation: copper Kα
Structure: DFT lattice parameters and positions (GGA-PBE)
No peak broadening, texture or thermal motion is included.

Principal peaks in the range 10° ≤ 2θ ≤ 90°, low angle first:
2θ 11.73, I 28, hkl 2 0 -1; 2θ 14.19, I 46, hkl 1 1 0; 2θ 19.83, I 26, hkl 3 1 -1; 2θ 23.58, I 73, hkl 4 0 -2; 2θ 25.59, I 100, hkl 3 1 -2; 2θ 26.75, I 97, hkl 3 1 1; 2θ 27.91, I 80, hkl 4 0 1; 2θ 29.18, I 56, hkl 0 2 1; 2θ 32.73, I 35, hkl 4 2 -1; 2θ 50.03, I 50, hkl 8 2 -3

Structural model:
Cell lengths 19.212, 6.696, 8.387 Å; angles 90.00, 115.87, 90.00 degrees
Space group C2/m (No. 12)
One atom of each set of equivalent atoms:
Sr1 0.100 0.000 0.447 (multiplicity 4)
Sr2 0.203 0.000 0.029 (multiplicity 4)
Np1 0.000 0.245 0.000 (multiplicity 4)
Np2 0.083 0.500 0.687 (multiplicity 4)
Np3 0.187 0.500 0.345 (multiplicity 4)
O1 0.000 0.283 0.500 (multiplicity 4)
O2 0.020 0.000 0.858 (multiplicity 4)
O3 0.024 0.500 0.869 (multiplicity 4)
O4 0.112 0.235 0.187 (multiplicity 8)
O5 0.127 0.500 0.485 (multiplicity 4)
O6 0.159 0.295 0.825 (multiplicity 8)
O7 0.250 0.000 0.776 (multiplicity 4)
O8 0.250 0.250 0.500 (multiplicity 4)



# 2
Calculated X-ray powder pattern
Compound: PrP2Pd6
Radiation: copper Kα
Structure: DFT lattice parameters and positions (GGA-PBE)
No peak broadening, texture or thermal motion is included.

Principal peaks in the range 10° ≤ 2θ ≤ 90°, low angle first:
2θ 10.21, I 9, hkl 0 0 1; 2θ 37.12, I 100, hkl 1 1 2; 2θ 41.68, I 13, hkl 0 0 4; 2θ 43.83, I 38, hkl 2 0 0; 2θ 44.09, I 10, hkl 1 1 3; 2θ 62.08, I 16, hkl 2 0 4; 2θ 63.72, I 12, hkl 2 2 0; 2θ 73.08, I 9, hkl 1 1 6; 2θ 76.11, I 24, hkl 3 1 2; 2θ 79.07, I 8, hkl 2 2 4

Structural model:
Cell lengths 4.131, 4.131, 8.667 Å; angles 90.00, 90.00, 90.00 degrees
Space group P4/mmm (No. 123)
One atom of each set of equivalent atoms:
Pr1 0.000 0.000 0.000 (multiplicity 1)
P1 0.500 0.500 0.131 (multiplicity 2)
Pd1 0.000 0.000 0.500 (multiplicity 1)
Pd2 0.000 0.500 0.275 (multiplicity 4)
Pd3 0.500 0.500 0.500 (multiplicity 1)



# 3
Calculated X-ray powder pattern
Compound: In3S4Br
Radiation: copper Kα
Structure: DFT lattice parameters and positions (GGA-PBE)
No peak broadening, texture or thermal motion is included.

Principal peaks in the range 10° ≤ 2θ ≤ 90°, low angle first:
2θ 14.43, I 34, hkl 2 0 0; 2θ 18.94, I 100, hkl 2 0 -2; 2θ 25.59, I 26, hkl 3 1 0; 2θ 26.16, I 47, hkl 1 1 2; 2θ 30.47, I 30, hkl 2 2 -1; 2θ 33.13, I 28, hkl 2 2 -2; 2θ 38.58, I 38, hkl 3 1 -4; 2θ 39.14, I 45, hkl 5 1 0; 2θ 39.40, I 54, hkl 4 2 -2; 2θ 47.10, I 33, hkl 1 3 2

Structural model:
Cell lengths 13.198, 6.622, 10.235 Å; angles 90.00, 111.58, 90.00 degrees
Space group Cc (No. 9)
One atom of each set of equivalent atoms:
In1 0.000 0.026 0.000 (multiplicity 4)
In2 0.083 0.473 0.632 (multiplicity 4)
In3 0.219 0.044 0.355 (multiplicity 4)
S1 0.032 0.164 0.739 (multiplicity 4)
S2 0.085 0.274 0.418 (multiplicity 4)
S3 0.188 0.212 0.120 (multiplicity 4)
S4 0.400 0.165 0.537 (multiplicity 4)
Br1 0.299 0.340 0.836 (multiplicity 4)



# 4
Calculated X-ray powder pattern
Compound: Cd3Si23
Radiation: copper Kα
Structure: DFT lattice parameters and positions (GGA-PBE)
No peak broadening, texture or thermal motion is included.

Principal peaks in the range 10° ≤ 2θ ≤ 90°, low angle first:
2θ 12.22, I 33, hkl 1 1 0; 2θ 19.38, I 43, hkl 2 1 0; 2θ 27.54, I 26, hkl 3 1 0; 2θ 30.23, I 92, hkl 2 2 2; 2θ 31.49, I 95, hkl 3 2 0; 2θ 32.72, I 100, hkl 3 2 1; 2θ 35.05, I 30, hkl 4 0 0; 2θ 47.83, I 24, hkl 5 2 0; 2θ 52.07, I 60, hkl 5 3 0; 2θ 55.29, I 42, hkl 5 3 2

Structural model:
Cell lengths 10.242, 10.242, 10.242 Å; angles 90.00, 90.00, 90.00 degrees
Space group Pm-3n (No. 223)
One atom of each set of equivalent atoms:
Cd1 0.000 0.250 0.500 (multiplicity 6)
Si1 0.000 0.308 0.117 (multiplicity 24)
Si2 0.000 0.500 0.250 (multiplicity 6)
Si3 0.184 0.184 0.184 (multiplicity 16)



# 5
Calculated X-ray powder pattern
Compound: KAuCl5
Radiation: copper Kα
Structure: DFT lattice parameters and positions (GGA-PBE)
No peak broadening, texture or thermal motion is included.

Principal peaks in the range 10° ≤ 2θ ≤ 90°, low angle first:
2θ 14.48, I 92, hkl 2 0 0; 2θ 14.72, I 100, hkl 1 1 0; 2θ 18.70, I 72, hkl 0 0 2; 2θ 21.52, I 48, hkl 1 1 -2; 2θ 26.04, I 55, hkl 1 1 2; 2θ 29.69, I 43, hkl 2 2 0; 2θ 34.86, I 29, hkl 2 0 -4; 2θ 38.36, I 28, hkl 4 2 -2; 2θ 39.33, I 38, hkl 4 2 0; 2θ 53.55, I 30, hkl 2 2 4

Structural model:
Cell lengths 13.270, 6.911, 10.296 Å; angles 90.00, 112.75, 90.00 degrees
Space group C2/c (No. 15)
One atom of each set of equivalent atoms:
K1 0.000 0.000 0.250 (multiplicity 4)
Au1 0.000 0.500 0.000 (multiplicity 4)
Cl1 0.000 0.500 0.250 (multiplicity 4)
Cl2 0.127 0.245 0.063 (multiplicity 8)
Cl3 0.142 0.271 0.571 (multiplicity 8)



# 6
Calculated X-ray powder pattern
Compound: Dy3ErCd2
Radiation: copper Kα
Structure: DFT lattice parameters and positions (GGA-PBE)
No peak broadening, texture or thermal motion is included.

Principal peaks in the range 10° ≤ 2θ ≤ 90°, low angle first:
2θ 32.41, I 100, hkl 1 0 3; 2θ 35.03, I 47, hkl 1 1 0; 2θ 42.33, I 9, hkl 0 0 6; 2θ 50.37, I 19, hkl 2 0 0; 2θ 56.07, I 16, hkl 1 1 6; 2θ 61.18, I 32, hkl 2 1 3; 2θ 67.85, I 9, hkl 2 0 6; 2θ 74.01, I 5, hkl 2 2 0; 2θ 83.12, I 7, hkl 3 0 3; 2θ 84.58, I 9, hkl 3 1 0

Structural model:
Cell lengths 3.623, 3.623, 12.811 Å; angles 90.00, 90.00, 90.00 degrees
Space group P4/mmm (No. 123)
One atom of each set of equivalent atoms:
Dy1 0.000 0.000 0.000 (multiplicity 1)
Dy2 0.000 0.000 0.310 (multiplicity 2)
Er1 0.500 0.500 0.500 (multiplicity 1)
Cd1 0.500 0.500 0.153 (multiplicity 2)